1.
Diffraction record for BeNiCl. The X-ray diffraction stick pattern is calculated, not measured: it uses the PBE geometry in Alexandria and Cu Kα (weighted mean of Kα1 and Kα2).

a = 3.2572 Å, b = 3.0239 Å, c = 9.1807 Å
α = 90.00°, β = 97.22°, γ = 90.00°
Fractional coordinates of all 6 atoms:
1 Be 0.2247 0.2500 0.3351
2 Be 0.7753 0.7500 0.6649
3 Ni 0.2658 0.2500 0.5702
4 Ni 0.7342 0.7500 0.4298
5 Cl 0.3132 0.7500 0.1887
6 Cl 0.6868 0.2500 0.8113

Peak list (10 most intense, 2θ from 10° to 90°, by angle)
two_theta  Rel. int.  hkl
29.42  29  0 0 3
31.16  86  0 1 1
31.88  69  1 0 -2
36.05  36  1 0 2
41.24  100  1 1 -1
42.97  37  1 1 1
43.39  43  1 0 3
44.01  34  1 1 -2
47.27  34  1 1 2
50.14  87  0 1 4

2.
Diffraction record for Ac2ErBi2Te2. The X-ray diffraction stick pattern is calculated, not measured: it uses the PBE geometry in Alexandria and Cu Kα (weighted mean of Kα1 and Kα2).

a = 5.7923 Å, b = 5.7923 Å, c = 16.7269 Å
α = 90.00°, β = 90.00°, γ = 90.00°
Fractional coordinates of all 14 atoms:
1 Ac 0.0000 0.0000 0.1277
2 Ac 0.0000 0.0000 0.8723
3 Ac 0.5000 0.5000 0.3723
4 Ac 0.5000 0.5000 0.6277
5 Er 0.0000 0.0000 0.5000
6 Er 0.5000 0.5000 0.0000
7 Bi 0.0000 0.5000 0.0000
8 Bi 0.0000 0.5000 0.5000
9 Bi 0.5000 0.0000 0.0000
10 Bi 0.5000 0.0000 0.5000
11 Te 0.0000 0.0000 0.3182
12 Te 0.0000 0.0000 0.6818
13 Te 0.5000 0.5000 0.1818
14 Te 0.5000 0.5000 0.8182

Peak list (10 most intense, 2θ from 10° to 90°, by angle)
two_theta  Rel. int.  hkl
10.58  37  0 0 2
21.70  19  1 1 0
24.20  27  1 1 2
30.55  43  1 1 4
30.87  100  2 0 0
44.22  51  2 2 0
45.14  20  2 0 6
54.71  18  3 1 4
64.33  21  4 0 0
73.05  20  4 2 0